Structure and theoretical powder X-ray diffraction pattern of LiMn3O2F6 (a crystal structure in Alexandria, relaxed with GGA+U; Cu Kα).
Peak positions follow from Bragg's law for the DFT cell and can differ from measured ones.

Crystal structure
Cell: 5.6014 4.7759 10.3029 Å, 90.00 95.34 90.00°
Space group P2_1/c (No. 14)
Unique sites:
Li 0.0000 0.0000 0.0000 x2
Mn 0.2650 0.0228 0.7508 x4
Mn 0.5000 0.0000 0.5000 x2
O 0.4923 0.1662 0.3282 x4
F 0.0050 0.7079 0.6811 x4
F 0.2110 0.2002 0.5741 x4
F 0.2896 0.6828 0.4223 x4

Most intense lines, 5 to 70 degrees two-theta, by intensity:
| 2θ (°) | intensity | hkl |
| --- | --- | --- |
| 26.55 | 100.0 | 1 1 1 |
| 52.52 | 31.4 | 1 1 5 |
| 34.97 | 28.5 | 0 0 4 |
| 54.69 | 19.8 | 2 2 2 |
| 40.06 | 16.0 | 2 1 -2 |
| 52.83 | 15.6 | 3 1 -1 |
| 15.89 | 15.4 | 1 0 0 |
| 39.90 | 15.2 | 0 1 4 |
| 52.35 | 14.6 | 0 2 4 |
| 20.51 | 13.6 | 0 1 1 |